(1)
For BaCo4O7, the PBE+U geometry in Alexandria gives the simulated X-ray powder pattern in this record (Cu Kα, 1.54184 Å).

Most intense lines, 2θ from 5° to 70°, sorted by position:
(0 0 2), 16.94°, I = 31
(1 0 1), 18.02°, I = 44
(1 1 0), 27.69°, I = 15
(1 0 3), 30.21°, I = 45
(1 1 2), 32.64°, I = 57
(2 0 1), 33.24°, I = 100
(0 0 4), 34.26°, I = 16
(2 0 2), 36.50°, I = 14
(2 1 3), 50.57°, I = 16
(3 0 2), 52.20°, I = 14
(2 0 5), 54.82°, I = 20
(2 2 0), 57.19°, I = 29

Structure:
```
data_BaCo4O7
_space_group_name_H-M_alt 'P 63 m c'
_space_group_IT_number 186
_space_group_name_Hall 'P 6c -2c'
_cell_length_a 6.4426
_cell_length_b 6.4426
_cell_length_c 10.4684
_cell_angle_alpha 90.00
_cell_angle_beta 90.00
_cell_angle_gamma 120.00
loop_
_atom_site_label
_atom_site_type_symbol
_atom_site_fract_x
_atom_site_fract_y
_atom_site_fract_z
Ba1 Ba 0.3333 0.6667 0.0000
Co1 Co 0.0000 0.0000 0.4123
Co2 Co 0.1715 0.3429 0.6601
O1 O 0.0000 0.0000 0.2274
O2 O 0.0070 0.5035 0.6884
O3 O 0.1481 0.2962 0.4775
```

(2)
For Ba2CoO5, the PBE+U geometry in Alexandria gives the simulated X-ray powder pattern in this record (Cu Kα, 1.54184 Å).

Most intense lines, 2θ from 5° to 70°, sorted by position:
(1 0 1), 18.93°, I = 27
(1 1 0), 21.04°, I = 46
(0 0 2), 23.52°, I = 13
(2 0 0), 29.92°, I = 49
(1 1 2), 31.76°, I = 100
(2 0 2), 38.41°, I = 48
(2 2 0), 42.83°, I = 34
(0 0 4), 48.15°, I = 24
(1 1 4), 53.05°, I = 10
(3 1 2), 54.29°, I = 40
(2 0 4), 57.70°, I = 15
(2 2 4), 66.36°, I = 17

Structure:
```
data_Ba2CoO5
_space_group_name_H-M_alt 'I 4 m m'
_space_group_IT_number 107
_space_group_name_Hall 'I 4 -2'
_cell_length_a 5.972
_cell_length_b 5.972
_cell_length_c 7.566
_cell_angle_alpha 90.00
_cell_angle_beta 90.00
_cell_angle_gamma 90.00
loop_
_atom_site_label
_atom_site_type_symbol
_atom_site_fract_x
_atom_site_fract_y
_atom_site_fract_z
Ba1 Ba 0.000 0.500 0.000
Co1 Co 0.000 0.000 0.222
O1 O 0.000 0.000 0.998
O2 O 0.210 0.210 0.266
```

(3)
For Ba3CoO4, the PBE+U geometry in Alexandria gives the simulated X-ray powder pattern in this record (Cu Kα, 1.54184 Å).

Most intense lines, 2θ from 5° to 70°, sorted by position:
(0 2 2), 28.71°, I = 80
(2 2 0), 29.88°, I = 93
(0 3 1), 30.41°, I = 29
(2 0 2), 31.68°, I = 100
(0 1 3), 33.87°, I = 19
(0 4 0), 38.15°, I = 26
(4 0 0), 47.01°, I = 16
(2 3 3), 49.92°, I = 25
(2 4 2), 50.41°, I = 26
(2 2 4), 53.91°, I = 21
(4 2 2), 56.02°, I = 18
(0 5 3), 59.37°, I = 18

Structure:
```
data_Ba3CoO4
_space_group_name_H-M_alt 'P n m a'
_space_group_IT_number 62
_space_group_name_Hall '-P 2ac 2n'
_cell_length_a 7.731
_cell_length_b 9.435
_cell_length_c 8.271
_cell_angle_alpha 90.00
_cell_angle_beta 90.00
_cell_angle_gamma 90.00
loop_
_atom_site_label
_atom_site_type_symbol
_atom_site_fract_x
_atom_site_fract_y
_atom_site_fract_z
Ba1 Ba 0.016 0.038 0.244
Ba2 Ba 0.221 0.750 0.440
Co1 Co 0.217 0.750 0.002
O1 O 0.027 0.750 0.162
O2 O 0.219 0.038 0.514
O3 O 0.221 0.750 0.755
```

(4)
For Ba5Co5O14, the PBE+U geometry in Alexandria gives the simulated X-ray powder pattern in this record (Cu Kα, 1.54184 Å).

Most intense lines, 2θ from 5° to 70°, sorted by position:
(0 0 1), 7.40°, I = 9
(1 0 2), 23.30°, I = 14
(0 1 3), 28.74°, I = 74
(1 1 0), 31.22°, I = 100
(1 0 4), 35.06°, I = 11
(0 2 2), 39.32°, I = 13
(2 0 3), 42.95°, I = 41
(1 0 6), 49.30°, I = 12
(1 2 3), 54.04°, I = 23
(3 0 0), 55.56°, I = 19
(2 2 0), 65.12°, I = 17
(2 1 6), 68.75°, I = 10

Structure:
```
data_Ba5Co5O14
_space_group_name_H-M_alt 'P -3 m 1'
_space_group_IT_number 164
_space_group_name_Hall '-P 3 2"'
_cell_length_a 5.7298
_cell_length_b 5.7298
_cell_length_c 11.9500
_cell_angle_alpha 90.00
_cell_angle_beta 90.00
_cell_angle_gamma 120.00
loop_
_atom_site_label
_atom_site_type_symbol
_atom_site_fract_x
_atom_site_fract_y
_atom_site_fract_z
Ba1 Ba 0.0000 0.0000 0.0000
Ba2 Ba 0.3333 0.6667 0.4188
Ba3 Ba 0.3333 0.6667 0.7728
Co1 Co 0.0000 0.0000 0.2936
Co2 Co 0.0000 0.0000 0.5000
Co3 Co 0.3333 0.6667 0.1409
O1 O 0.1470 0.2941 0.6017
O2 O 0.1624 0.3248 0.1971
O3 O 0.3333 0.6667 0.9951
```

(5)
For BaPa4Co3O12, the PBE+U geometry in Alexandria gives the simulated X-ray powder pattern in this record (Cu Kα, 1.54184 Å).

Most intense lines, 2θ from 5° to 70°, sorted by position:
(1 1 0), 15.00°, I = 2
(2 0 0), 21.27°, I = 32
(2 2 0), 30.26°, I = 100
(3 0 1), 33.93°, I = 2
(2 2 2), 37.29°, I = 7
(3 1 2), 40.40°, I = 2
(4 0 0), 43.32°, I = 23
(4 2 0), 48.75°, I = 16
(4 2 2), 53.76°, I = 47
(4 4 0), 62.94°, I = 14
(4 4 2), 67.24°, I = 7
(5 2 3), 69.34°, I = 1

Structure:
```
data_BaPa4Co3O12
_space_group_name_H-M_alt 'I m -3'
_space_group_IT_number 204
_space_group_name_Hall '-I 2 2 3'
_cell_length_a 8.354
_cell_length_b 8.354
_cell_length_c 8.354
_cell_angle_alpha 90.00
_cell_angle_beta 90.00
_cell_angle_gamma 90.00
loop_
_atom_site_label
_atom_site_type_symbol
_atom_site_fract_x
_atom_site_fract_y
_atom_site_fract_z
Ba1 Ba 0.000 0.000 0.000
Pa1 Pa 0.250 0.250 0.250
Co1 Co 0.000 0.000 0.500
O1 O 0.000 0.300 0.174
```

(6)
For Ba2Pr2Co4O11, the PBE+U geometry in Alexandria gives the simulated X-ray powder pattern in this record (Cu Kα, 1.54184 Å).

Most intense lines, 2θ from 5° to 70°, sorted by position:
(1 1 0), 22.26°, I = 13
(0 0 4), 23.10°, I = 5
(2 0 0), 31.69°, I = 48
(1 1 4), 32.30°, I = 100
(2 0 4), 39.58°, I = 21
(2 2 0), 45.43°, I = 31
(0 0 8), 47.20°, I = 12
(3 1 0), 51.15°, I = 3
(3 1 4), 56.83°, I = 39
(2 0 8), 57.97°, I = 19
(4 0 0), 66.19°, I = 9
(2 2 8), 67.59°, I = 16

Structure:
```
data_Ba2Pr2Co4O11
_space_group_name_H-M_alt 'I 4/m m m'
_space_group_IT_number 139
_space_group_name_Hall '-I 4 2'
_cell_length_a 5.647
_cell_length_b 5.647
_cell_length_c 15.404
_cell_angle_alpha 90.00
_cell_angle_beta 90.00
_cell_angle_gamma 90.00
loop_
_atom_site_label
_atom_site_type_symbol
_atom_site_fract_x
_atom_site_fract_y
_atom_site_fract_z
Ba1 Ba 0.000 0.500 0.250
Pr1 Pr 0.000 0.500 0.000
Co1 Co 0.000 0.000 0.121
Co2 Co 0.000 0.000 0.377
O1 O 0.000 0.000 0.000
O2 O 0.000 0.000 0.238
O3 O 0.236 0.236 0.395
```